Cs3Sm7Te12: calculated XRD peak list (Cu Kα (weighted mean of Kα1 and Kα2)), based on a DFT-relaxed cell (PBE, the Materials Project).
Intensities are scaled so that the largest is 100.

The 10 most intense peaks (2θ from 5° to 70°), in order of falling intensity:
hkl  two_theta  intensity
1 3 1  27.7  100
1 4 7  39.3  35
0 1 2  8.8  31
2 0 0  39.8  30
0 1 9  28.8  24
0 1 8  25.7  20
1 3 2  28.2  19
1 4 8  41.2  18
0 1 1  7.0  15
1 3 9  39.6  13

Cell and atoms:
```
data_Cs3Sm7Te12
_chemical_formula_sum 'Cs6 Sm14 Te24'
_cell_length_a 4.529
_cell_length_b 13.966
_cell_length_c 28.664
_cell_angle_alpha 90.00
_cell_angle_beta 90.00
_cell_angle_gamma 90.00
_space_group_name_H-M_alt 'P m n 21'
_space_group_IT_number 31
_space_group_name_Hall 'P 2ac -2'
loop_
_atom_site_label
_atom_site_type_symbol
_atom_site_fract_x
_atom_site_fract_y
_atom_site_fract_z
_atom_site_occupancy
Cs1 Cs 0.000 0.032 0.000 1
Cs2 Cs 0.000 0.311 0.659 1
Cs3 Cs 0.000 0.461 0.264 1
Sm1 Sm 0.000 0.161 0.343 1
Sm2 Sm 0.000 0.250 0.131 1
Sm3 Sm 0.000 0.339 0.918 1
Sm4 Sm 0.000 0.535 0.546 1
Sm5 Sm 0.000 0.670 0.949 1
Sm6 Sm 0.000 0.832 0.313 1
Sm7 Sm 0.000 0.966 0.714 1
Te1 Te 0.000 0.002 0.828 1
Te2 Te 0.000 0.179 0.452 1
Te3 Te 0.000 0.187 0.235 1
Te4 Te 0.000 0.312 0.026 1
Te5 Te 0.000 0.322 0.807 1
Te6 Te 0.000 0.497 0.433 1
Te7 Te 0.000 0.594 0.650 1
Te8 Te 0.000 0.621 0.055 1
Te9 Te 0.000 0.689 0.841 1
Te10 Te 0.000 0.811 0.420 1
Te11 Te 0.000 0.880 0.207 1
Te12 Te 0.000 0.902 0.611 1
```

***

CsSmZnTe3: calculated XRD peak list (Cu Kα (weighted mean of Kα1 and Kα2)), based on a DFT-relaxed cell (PBE, the Materials Project).
Intensities are scaled so that the largest is 100.

The 10 most intense peaks (2θ from 5° to 70°), in order of falling intensity:
hkl  two_theta  intensity
1 3 1  26.2  100
0 2 0  10.2  59
1 5 2  36.0  47
1 7 3  47.7  43
1 3 0  25.1  41
1 3 2  29.3  38
0 2 3  24.6  38
1 3 5  45.9  36
2 0 0  40.1  32
0 0 4  30.0  30

Cell and atoms:
```
data_CsSmZnTe3
_chemical_formula_sum 'Cs4 Sm4 Zn4 Te12'
_cell_length_a 4.494
_cell_length_b 17.345
_cell_length_c 11.922
_cell_angle_alpha 90.00
_cell_angle_beta 90.00
_cell_angle_gamma 90.00
_space_group_name_H-M_alt 'C m c m'
_space_group_IT_number 63
_space_group_name_Hall '-C 2c 2'
loop_
_atom_site_label
_atom_site_type_symbol
_atom_site_fract_x
_atom_site_fract_y
_atom_site_fract_z
_atom_site_occupancy
Cs1 Cs 0.000 0.247 0.250 1
Sm1 Sm 0.000 0.500 0.000 1
Zn1 Zn 0.000 0.035 0.750 1
Te1 Te 0.000 0.120 0.563 1
Te2 Te 0.000 0.439 0.750 1
```

***

CsSn3: calculated XRD peak list (Cu Kα (weighted mean of Kα1 and Kα2)), based on a DFT-relaxed cell (PBE, the Materials Project).
Intensities are scaled so that the largest is 100.

The 10 most intense peaks (2θ from 5° to 70°), in order of falling intensity:
hkl  two_theta  intensity
2 0 1  30.0  100
3 0 1  41.6  40
1 0 0  12.5  33
0 0 2  32.6  26
2 0 3  56.6  24
3 1 1  49.3  22
2 0 0  25.2  22
2 1 0  33.5  20
2 1 2  47.4  16
3 2 2  66.9  9

Cell and atoms:
```
data_CsSn3
_chemical_formula_sum 'Cs2 Sn6'
_cell_length_a 8.1754
_cell_length_b 8.1754
_cell_length_c 5.4929
_cell_angle_alpha 90.00
_cell_angle_beta 90.00
_cell_angle_gamma 120.00
_space_group_name_H-M_alt 'P 63/m m c'
_space_group_IT_number 194
_space_group_name_Hall '-P 6c 2c'
loop_
_atom_site_label
_atom_site_type_symbol
_atom_site_fract_x
_atom_site_fract_y
_atom_site_fract_z
_atom_site_occupancy
Cs1 Cs 0.3333 0.6667 0.2500 1
Sn1 Sn 0.1253 0.2505 0.7500 1
```

***

Cs3SnTe3: calculated XRD peak list (Cu Kα (weighted mean of Kα1 and Kα2)), based on a DFT-relaxed cell (PBE, the Materials Project).
Intensities are scaled so that the largest is 100.

The 10 most intense peaks (2θ from 5° to 70°), in order of falling intensity:
hkl  two_theta  intensity
1 1 -3  26.1  100
3 3 1  25.5  81
1 3 2  25.7  37
5 1 -1  26.2  35
4 2 -2  27.6  31
3 1 2  24.6  25
4 0 -2  24.8  24
2 4 -1  27.1  19
4 2 -1  24.1  18
5 1 1  28.0  17

Cell and atoms:
```
data_Cs3SnTe3
_chemical_formula_sum 'Cs24 Sn8 Te24'
_cell_length_a 17.926
_cell_length_b 14.791
_cell_length_c 10.552
_cell_angle_alpha 90.00
_cell_angle_beta 96.24
_cell_angle_gamma 90.00
_space_group_name_H-M_alt 'C 1 2/c 1'
_space_group_IT_number 15
_space_group_name_Hall '-C 2yc'
loop_
_atom_site_label
_atom_site_type_symbol
_atom_site_fract_x
_atom_site_fract_y
_atom_site_fract_z
_atom_site_occupancy
Cs1 Cs 0.000 0.086 0.250 1
Cs2 Cs 0.000 0.396 0.250 1
Cs3 Cs 0.095 0.308 0.636 1
Cs4 Cs 0.219 0.026 0.686 1
Sn1 Sn 0.176 0.259 0.045 1
Te1 Te 0.080 0.130 0.923 1
Te2 Te 0.119 0.431 0.977 1
Te3 Te 0.186 0.233 0.309 1
```